Entry 1:
Simulated powder XRD pattern
Compound: Ti8Ni2Ir
Radiation: Cu Kα, 1.54184 Å
Structure: DFT lattice parameters and positions (GGA-PBE)
Lines closer than 0.1° are merged.

Structure:
```
Ti8Ni2Ir
1.0
3.542 -5.944 0.000
3.542 5.944 0.000
-1.702 0.000 4.209
Ti Ni Ir
8 2 1
Cartesian
0.486 1.366 2.506 Ti
3.542 3.365 0.000 Ti
0.486 -1.366 2.506 Ti
2.418 0.000 0.795 Ti
2.965 0.000 3.414 Ti
4.897 1.366 1.703 Ti
3.542 -3.365 0.000 Ti
4.897 -1.366 1.703 Ti
2.691 2.365 2.105 Ni
2.691 -2.365 2.105 Ni
0.000 0.000 0.000 Ir
```

Largest 12 diffraction maxima, by angle, 2θ = 10–90°:
Position (°2θ)	intensity
15.4	69
21.7	59
25.9	63
27.2	39
30.1	59
37.0	87
39.4	99
40.5	64
40.7	36
41.0	83
43.3	100
43.6	34

=====

Entry 2:
Simulated powder XRD pattern
Compound: Sr2Sn3O8
Radiation: Cu Kα, 1.54184 Å
Structure: DFT lattice parameters and positions (GGA-PBE)
Lines closer than 0.1° are merged.

Structure:
```
Sr2Sn3O8
1.0
6.522 0.000 0.000
-3.261 5.649 0.000
0.000 0.000 11.344
Sr Sn O
4 6 16
Cartesian
0.000 3.766 0.000 Sr
0.000 3.766 4.468 Sr
3.261 1.883 5.672 Sr
3.261 1.883 10.140 Sr
0.000 1.855 8.106 Sn
-1.655 4.721 8.106 Sn
1.606 0.927 2.434 Sn
1.655 4.721 8.106 Sn
4.916 0.927 2.434 Sn
3.261 3.794 2.434 Sn
0.000 0.000 3.564 O
0.000 0.000 9.236 O
-1.392 2.962 9.253 O
0.000 1.778 1.423 O
-1.721 4.759 1.423 O
1.540 0.889 7.095 O
0.000 3.766 6.956 O
1.392 2.962 9.253 O
0.000 5.373 9.253 O
3.261 0.276 3.582 O
1.869 2.686 3.582 O
3.261 1.883 1.284 O
1.721 4.759 1.423 O
4.982 0.889 7.095 O
3.261 3.870 7.095 O
4.653 2.686 3.582 O
```

Largest 12 diffraction maxima, by angle, 2θ = 10–90°:
Position (°2θ)	intensity
15.6	78
22.2	51
28.4	68
31.6	90
31.7	31
32.7	100
39.8	30
45.3	33
49.0	38
51.1	19
51.7	68
56.4	43

=====

Entry 3:
Simulated powder XRD pattern
Compound: Si2IrPbN
Radiation: Cu Kα, 1.54184 Å
Structure: DFT lattice parameters and positions (GGA-PBE)
Lines closer than 0.1° are merged.

Structure:
```
Si2IrPbN
1.0
4.470 0.000 0.000
0.000 4.470 0.000
0.000 0.000 5.663
Si Ir Pb N
2 1 1 1
Cartesian
0.000 2.235 0.000 Si
2.235 0.000 0.000 Si
0.000 0.000 0.000 Ir
0.000 0.000 2.831 Pb
2.235 2.235 2.831 N
```

Largest 12 diffraction maxima, by angle, 2θ = 10–90°:
Position (°2θ)	intensity
19.9	100
28.2	37
31.6	25
37.6	42
40.4	25
42.9	25
45.4	25
52.1	24
56.3	27
67.9	11
75.1	10
83.7	9